[1]
# Ni17S18
Simulated powder XRD pattern, a wavelength of 1.5418 Å. Input: a GGA-PBE-relaxed structure.
Neutral-atom scattering factors, no anomalous dispersion.

Largest 10 diffraction maxima, by angle, 15 to 90 degrees two-theta:
2θ 30.0, I = 60.7; 2θ 34.8, I = 39.2; 2θ 46.6, I = 100.0; 2θ 53.3, I = 47.8; 2θ 62.4, I = 11.5; 2θ 65.2, I = 9.0; 2θ 73.4, I = 27.7; 2θ 81.3, I = 5.0; 2θ 86.4, I = 6.5; 2θ 89.0, I = 4.2

Cell and atoms:
abc: 7.880 7.880 7.880
angles: 81.80 81.80 81.80
Fractional positions:
Ni  0.000  0.000  0.000
Ni  0.000  0.325  0.675
Ni  0.000  0.675  0.325
Ni  0.174  0.174  0.174
Ni  0.178  0.500  0.822
Ni  0.178  0.822  0.500
Ni  0.325  0.000  0.675
Ni  0.325  0.675  0.000
Ni  0.347  0.347  0.347
Ni  0.500  0.178  0.822
Ni  0.500  0.822  0.178
Ni  0.653  0.653  0.653
Ni  0.675  0.000  0.325
Ni  0.675  0.325  0.000
Ni  0.822  0.178  0.500
Ni  0.822  0.500  0.178
Ni  0.826  0.826  0.826
S  0.021  0.021  0.695
S  0.021  0.695  0.021
S  0.031  0.365  0.365
S  0.300  0.300  0.640
S  0.300  0.640  0.300
S  0.305  0.979  0.979
S  0.360  0.700  0.700
S  0.365  0.031  0.365
S  0.365  0.365  0.031
S  0.635  0.635  0.969
S  0.635  0.969  0.635
S  0.640  0.300  0.300
S  0.695  0.021  0.021
S  0.700  0.360  0.700
S  0.700  0.700  0.360
S  0.969  0.635  0.635
S  0.979  0.305  0.979
S  0.979  0.979  0.305

[2]
# CdB2S4
Simulated powder XRD pattern, a wavelength of 1.5418 Å. Input: a GGA-PBE-relaxed structure.
Neutral-atom scattering factors, no anomalous dispersion.

Largest 10 diffraction maxima, by angle, 15 to 90 degrees two-theta:
2θ 21.2, I = 97.5; 2θ 25.2, I = 24.1; 2θ 33.1, I = 100.0; 2θ 34.5, I = 26.9; 2θ 35.9, I = 16.9; 2θ 40.3, I = 38.5; 2θ 42.1, I = 16.5; 2θ 49.7, I = 23.9; 2θ 54.1, I = 42.0; 2θ 60.9, I = 15.4

Cell and atoms:
abc: 7.073 7.073 5.203
angles: 90.00 90.00 90.00
Fractional positions:
Cd  0.000  0.000  0.000
Cd  0.500  0.500  0.500
B  0.000  0.500  0.250
B  0.000  0.500  0.750
B  0.500  0.000  0.250
B  0.500  0.000  0.750
S  0.138  0.648  0.000
S  0.148  0.362  0.500
S  0.352  0.138  0.000
S  0.362  0.852  0.500
S  0.638  0.148  0.500
S  0.648  0.862  0.000
S  0.852  0.638  0.500
S  0.862  0.352  0.000

[3]
# LiSm4Tm4O12
Simulated powder XRD pattern, a wavelength of 1.5418 Å. Input: a GGA-PBE-relaxed structure.
Neutral-atom scattering factors, no anomalous dispersion.

Largest 10 diffraction maxima, by angle, 15 to 90 degrees two-theta:
2θ 29.3, I = 95.4; 2θ 29.6, I = 86.0; 2θ 29.9, I = 97.8; 2θ 30.5, I = 100.0; 2θ 30.6, I = 87.9; 2θ 31.1, I = 86.6; 2θ 42.6, I = 41.7; 2θ 42.9, I = 36.7; 2θ 52.5, I = 33.7; 2θ 53.1, I = 35.9

Cell and atoms:
abc: 5.758 6.032 8.492
angles: 89.25 87.57 88.53
Fractional positions:
Li  0.000  0.000  0.000
Sm  0.109  0.033  0.684
Sm  0.142  0.161  0.248
Sm  0.623  0.667  0.185
Sm  0.664  0.558  0.712
Tm  0.147  0.604  0.449
Tm  0.148  0.567  0.948
Tm  0.585  0.122  0.947
Tm  0.639  0.107  0.450
O  0.003  0.543  0.201
O  0.278  0.661  0.695
O  0.304  0.905  0.034
O  0.349  0.904  0.389
O  0.450  0.405  0.357
O  0.492  0.170  0.696
O  0.517  0.477  0.968
O  0.773  0.038  0.183
O  0.846  0.813  0.530
O  0.848  0.808  0.878
O  0.947  0.276  0.869
O  0.954  0.296  0.510

[4]
# CeTmTh2
Simulated powder XRD pattern, a wavelength of 1.5418 Å. Input: a GGA-PBE-relaxed structure.
Neutral-atom scattering factors, no anomalous dispersion.

Largest 10 diffraction maxima, by angle, 15 to 90 degrees two-theta:
2θ 29.8, I = 36.0; 2θ 31.2, I = 58.8; 2θ 32.1, I = 100.0; 2θ 34.6, I = 83.3; 2θ 39.5, I = 16.2; 2θ 52.0, I = 39.2; 2θ 54.4, I = 22.5; 2θ 59.3, I = 18.2; 2θ 61.9, I = 47.0; 2θ 87.8, I = 18.4

Cell and atoms:
abc: 3.516 3.516 34.433
angles: 90.00 90.00 120.00
Fractional positions:
Ce  0.000  0.000  0.000
Ce  0.333  0.667  0.667
Ce  0.667  0.333  0.333
Tm  0.000  0.000  0.169
Tm  0.333  0.667  0.836
Tm  0.667  0.333  0.502
Th  0.000  0.000  0.585
Th  0.000  0.000  0.750
Th  0.333  0.667  0.252
Th  0.333  0.667  0.417
Th  0.667  0.333  0.083
Th  0.667  0.333  0.918

[5]
# Na3H5Se4O16
Simulated powder XRD pattern, a wavelength of 1.5418 Å. Input: a GGA-PBE-relaxed structure.
Neutral-atom scattering factors, no anomalous dispersion.

Largest 10 diffraction maxima, by angle, 15 to 90 degrees two-theta:
2θ 17.0, I = 37.0; 2θ 18.9, I = 52.5; 2θ 20.6, I = 100.0; 2θ 22.9, I = 57.1; 2θ 23.8, I = 41.6; 2θ 25.1, I = 47.0; 2θ 26.6, I = 26.4; 2θ 27.0, I = 77.9; 2θ 30.6, I = 28.0; 2θ 31.5, I = 27.3

Cell and atoms:
abc: 6.015 7.394 9.220
angles: 104.88 92.88 105.50
Fractional positions:
Na  0.000  0.000  0.000
Na  0.181  0.361  0.412
Na  0.386  0.739  0.839
H  0.050  0.988  0.543
H  0.344  0.759  0.290
H  0.603  0.492  0.042
H  0.688  0.394  0.425
H  0.774  0.244  0.790
Se  0.392  0.222  0.760
Se  0.533  0.048  0.239
Se  0.864  0.699  0.597
Se  0.985  0.514  0.073
O  0.077  0.692  0.994
O  0.080  0.606  0.616
O  0.157  0.543  0.228
O  0.222  0.196  0.603
O  0.296  0.040  0.834
O  0.304  0.128  0.217
O  0.443  0.443  0.881
O  0.466  0.886  0.350
O  0.618  0.940  0.081
O  0.632  0.518  0.483
O  0.659  0.209  0.695
O  0.719  0.528  0.137
O  0.755  0.228  0.349
O  0.766  0.800  0.750
O  0.931  0.856  0.484
O  0.933  0.292  0.953

[6]
# Mg3H4Ir3
Simulated powder XRD pattern, a wavelength of 1.5418 Å. Input: a GGA-PBE-relaxed structure.
Neutral-atom scattering factors, no anomalous dispersion.

Largest 10 diffraction maxima, by angle, 15 to 90 degrees two-theta:
2θ 19.1, I = 20.8; 2θ 19.4, I = 34.2; 2θ 21.6, I = 100.0; 2θ 35.9, I = 32.7; 2θ 37.5, I = 45.1; 2θ 37.6, I = 31.6; 2θ 38.8, I = 34.7; 2θ 39.3, I = 28.4; 2θ 39.4, I = 28.5; 2θ 44.0, I = 25.2

Cell and atoms:
abc: 5.243 5.294 5.314
angles: 63.65 66.53 66.69
Fractional positions:
Mg  0.000  0.000  0.000
Mg  0.288  0.288  0.295
Mg  0.610  0.680  0.685
H  0.365  0.038  0.043
H  0.791  0.408  0.412
H  0.898  0.985  0.485
H  0.903  0.482  0.990
Ir  0.117  0.668  0.669
Ir  0.575  0.190  0.695
Ir  0.577  0.690  0.194

[7]
# K2Ga3AgF12
Simulated powder XRD pattern, a wavelength of 1.5418 Å. Input: a GGA-PBE-relaxed structure.
Neutral-atom scattering factors, no anomalous dispersion.

Largest 10 diffraction maxima, by angle, 15 to 90 degrees two-theta:
2θ 15.3, I = 17.3; 2θ 28.2, I = 37.9; 2θ 28.5, I = 100.0; 2θ 29.2, I = 29.2; 2θ 29.6, I = 65.9; 2θ 30.9, I = 28.9; 2θ 45.0, I = 35.1; 2θ 49.0, I = 54.3; 2θ 50.7, I = 24.8; 2θ 59.0, I = 19.1

Cell and atoms:
abc: 7.215 7.215 7.215
angles: 62.09 62.09 62.09
Fractional positions:
K  0.124  0.124  0.124
K  0.876  0.876  0.876
Ga  0.000  0.500  0.500
Ga  0.500  0.000  0.500
Ga  0.500  0.500  0.000
Ag  0.500  0.500  0.500
F  0.077  0.621  0.621
F  0.214  0.214  0.602
F  0.214  0.602  0.214
F  0.379  0.379  0.923
F  0.379  0.923  0.379
F  0.398  0.786  0.786
F  0.602  0.214  0.214
F  0.621  0.077  0.621
F  0.621  0.621  0.077
F  0.786  0.398  0.786
F  0.786  0.786  0.398
F  0.923  0.379  0.379

[8]
# Pm2H3O
Simulated powder XRD pattern, a wavelength of 1.5418 Å. Input: a GGA-PBE-relaxed structure.
Neutral-atom scattering factors, no anomalous dispersion.

Largest 10 diffraction maxima, by angle, 15 to 90 degrees two-theta:
2θ 22.9, I = 0.8; 2θ 28.2, I = 100.0; 2θ 32.7, I = 43.8; 2θ 46.9, I = 42.1; 2θ 55.6, I = 45.0; 2θ 58.3, I = 11.7; 2θ 68.5, I = 6.6; 2θ 75.6, I = 18.1; 2θ 77.9, I = 15.3; 2θ 87.1, I = 14.0

Cell and atoms:
abc: 5.482 5.482 5.482
angles: 90.00 90.00 90.00
Fractional positions:
Pm  0.000  0.000  0.000
Pm  0.000  0.500  0.500
Pm  0.500  0.000  0.500
Pm  0.500  0.500  0.000
H  0.250  0.250  0.750
H  0.250  0.750  0.250
H  0.250  0.750  0.750
H  0.750  0.250  0.250
H  0.750  0.250  0.750
H  0.750  0.750  0.250
O  0.250  0.250  0.250
O  0.750  0.750  0.750

[9]
# ReI3Cl
Simulated powder XRD pattern, a wavelength of 1.5418 Å. Input: a GGA-PBE-relaxed structure.
Neutral-atom scattering factors, no anomalous dispersion.

Largest 10 diffraction maxima, by angle, 15 to 90 degrees two-theta:
2θ 15.1, I = 100.0; 2θ 24.0, I = 33.8; 2θ 24.9, I = 23.2; 2θ 26.9, I = 53.1; 2θ 27.2, I = 29.9; 2θ 32.0, I = 52.6; 2θ 34.5, I = 42.1; 2θ 38.9, I = 26.6; 2θ 39.2, I = 29.1; 2θ 46.5, I = 21.4

Cell and atoms:
abc: 9.387 7.501 14.949
angles: 90.00 127.92 90.00
Fractional positions:
Re  0.141  0.022  0.003
Re  0.141  0.478  0.503
Re  0.859  0.522  0.497
Re  0.859  0.978  0.997
I  0.164  0.668  0.666
I  0.164  0.832  0.166
I  0.169  0.715  0.928
I  0.169  0.785  0.428
I  0.325  0.225  0.658
I  0.325  0.275  0.158
I  0.675  0.725  0.842
I  0.675  0.775  0.342
I  0.831  0.215  0.572
I  0.831  0.285  0.072
I  0.836  0.168  0.834
I  0.836  0.332  0.334
Cl  0.253  0.153  0.913
Cl  0.253  0.347  0.413
Cl  0.747  0.653  0.587
Cl  0.747  0.847  0.087

[10]
# Tb8NdY3
Simulated powder XRD pattern, a wavelength of 1.5418 Å. Input: a GGA-PBE-relaxed structure.
Neutral-atom scattering factors, no anomalous dispersion.

Largest 10 diffraction maxima, by angle, 15 to 90 degrees two-theta:
2θ 24.2, I = 96.9; 2θ 25.8, I = 66.9; 2θ 29.0, I = 83.1; 2θ 31.4, I = 86.3; 2θ 33.0, I = 43.9; 2θ 33.1, I = 50.0; 2θ 36.3, I = 90.1; 2θ 43.3, I = 55.7; 2θ 44.6, I = 100.0; 2θ 69.5, I = 35.6

Cell and atoms:
abc: 8.380 8.380 8.380
angles: 117.45 117.45 94.48
Fractional positions:
Tb  0.124  0.124  0.749
Tb  0.250  0.749  0.000
Tb  0.251  0.251  0.501
Tb  0.375  0.375  0.251
Tb  0.625  0.876  0.000
Tb  0.749  0.250  0.000
Tb  0.750  0.750  0.499
Tb  0.876  0.625  0.000
Nd  0.000  0.000  0.000
Y  0.250  0.750  0.500
Y  0.500  0.500  0.000
Y  0.750  0.250  0.500

[11]
# SrAc8Pt4
Simulated powder XRD pattern, a wavelength of 1.5418 Å. Input: a GGA-PBE-relaxed structure.
Neutral-atom scattering factors, no anomalous dispersion.

Largest 10 diffraction maxima, by angle, 15 to 90 degrees two-theta:
2θ 25.9, I = 100.0; 2θ 26.5, I = 51.8; 2θ 27.2, I = 88.6; 2θ 27.8, I = 48.1; 2θ 30.5, I = 39.7; 2θ 32.4, I = 48.0; 2θ 36.5, I = 46.6; 2θ 40.7, I = 46.3; 2θ 41.9, I = 84.9; 2θ 49.3, I = 28.8

Cell and atoms:
abc: 11.047 11.047 14.573
angles: 129.86 129.86 23.16
Fractional positions:
Sr  0.000  0.000  0.000
Ac  0.042  0.042  0.744
Ac  0.291  0.291  0.925
Ac  0.332  0.332  0.657
Ac  0.371  0.371  0.414
Ac  0.629  0.629  0.586
Ac  0.668  0.668  0.343
Ac  0.709  0.709  0.075
Ac  0.958  0.958  0.256
Pt  0.145  0.145  0.461
Pt  0.335  0.335  0.171
Pt  0.665  0.665  0.829
Pt  0.855  0.855  0.539